Record 1
Starting from a GGA-PBE-relaxed structure, the powder XRD pattern of ThCd4InAg5 was computed for Cu Ka.
Peak positions follow from Bragg's law for the DFT cell and can differ from measured ones.

Structural model:
a b c (Å): 5.392 5.392 8.762
angles (deg): 90.00 90.00 90.00
Space group P4/mmm (No. 123)
Asymmetric unit:
1 Th 0.000 0.000 0.000 (multiplicity 1)
2 Cd 0.000 0.500 0.500 (multiplicity 2)
3 Cd 0.500 0.500 0.331 (multiplicity 2)
4 In 0.500 0.500 0.000 (multiplicity 1)
5 Ag 0.000 0.000 0.500 (multiplicity 1)
6 Ag 0.000 0.500 0.177 (multiplicity 4)

Principal peaks in the range 15° ≤ 2θ ≤ 90°, low angle first:
| (hkl) | 2θ (°) | Rel. int. |
| --- | --- | --- |
| 1 0 2 | 26.21 | 23 |
| 1 1 2 | 31.10 | 18 |
| 2 0 0 | 33.23 | 100 |
| 1 1 3 | 38.84 | 89 |
| 2 2 0 | 47.70 | 35 |
| 3 1 3 | 63.14 | 41 |
| 2 0 6 | 73.80 | 18 |
| 4 2 0 | 79.49 | 15 |


Record 2
Starting from a GGA-PBE-relaxed structure, the powder XRD pattern of TlCdInAg was computed for Cu Ka.
Peak positions follow from Bragg's law for the DFT cell and can differ from measured ones.

Structural model:
a b c (Å): 7.307 7.307 7.307
angles (deg): 90.00 90.00 90.00
Space group F-43m (No. 216)
Asymmetric unit:
1 Tl 0.000 0.000 0.000 (multiplicity 4)
2 Cd 0.250 0.250 0.750 (multiplicity 4)
3 In 0.000 0.000 0.500 (multiplicity 4)
4 Ag 0.250 0.250 0.250 (multiplicity 4)

Principal peaks in the range 15° ≤ 2θ ≤ 90°, low angle first:
| (hkl) | 2θ (°) | Rel. int. |
| --- | --- | --- |
| 1 1 1 | 21.06 | 5 |
| 2 0 0 | 24.36 | 3 |
| 2 2 0 | 34.72 | 100 |
| 3 1 1 | 40.96 | 3 |
| 4 0 0 | 49.92 | 18 |
| 4 2 2 | 62.24 | 36 |
| 4 4 0 | 73.28 | 11 |
| 6 2 0 | 83.71 | 16 |


Record 3
Starting from a GGA-PBE-relaxed structure, the powder XRD pattern of Zn2Cd2InAg5 was computed for Cu Ka.
Peak positions follow from Bragg's law for the DFT cell and can differ from measured ones.

Structural model:
a b c (Å): 9.482 9.482 4.250
angles (deg): 90.00 90.00 90.00
Space group P4/mbm (No. 127)
Asymmetric unit:
1 Zn 0.120 0.380 0.000 (multiplicity 4)
2 Cd 0.175 0.675 0.000 (multiplicity 4)
3 In 0.000 0.000 0.000 (multiplicity 2)
4 Ag 0.000 0.500 0.500 (multiplicity 2)
5 Ag 0.081 0.201 0.500 (multiplicity 8)

Principal peaks in the range 15° ≤ 2θ ≤ 90°, low angle first:
| (hkl) | 2θ (°) | Rel. int. |
| --- | --- | --- |
| 2 1 1 | 29.76 | 21 |
| 2 2 1 | 34.07 | 18 |
| 3 1 1 | 36.68 | 100 |
| 4 1 0 | 39.17 | 34 |
| 3 2 1 | 40.33 | 42 |
| 0 0 2 | 42.54 | 30 |
| 4 2 0 | 42.64 | 16 |
| 4 1 2 | 59.22 | 24 |


Record 4
Starting from a GGA-PBE-relaxed structure, the powder XRD pattern of Tm4CdAg2Ir was computed for Cu Ka.
Peak positions follow from Bragg's law for the DFT cell and can differ from measured ones.

Structural model:
a b c (Å): 5.0305 5.0305 24.6374
angles (deg): 90.00 90.00 120.00
Space group R-3m (No. 166, hexagonal axes)
Asymmetric unit:
1 Tm 0.0000 0.0000 0.1152 (multiplicity 6)
2 Tm 0.0000 0.0000 0.3678 (multiplicity 6)
3 Cd 0.0000 0.0000 0.5000 (multiplicity 3)
4 Ag 0.0000 0.0000 0.2417 (multiplicity 6)
5 Ir 0.0000 0.0000 0.0000 (multiplicity 3)

Principal peaks in the range 15° ≤ 2θ ≤ 90°, low angle first:
| (hkl) | 2θ (°) | Rel. int. |
| --- | --- | --- |
| 0 0 9 | 32.71 | 4 |
| 1 1 0 | 35.70 | 100 |
| 1 1 9 | 49.19 | 5 |
| 2 0 8 | 51.38 | 16 |
| 3 0 0 | 64.13 | 32 |
| 0 1 17 | 68.19 | 4 |
| 2 2 0 | 75.62 | 9 |
| 3 1 8 | 86.54 | 12 |